This entry pairs a crystal structure of Ca4LaNi with its calculated powder XRD pattern. Radiation: Cu Kα. Structure: a cell relaxed with PBE.
No peak broadening, texture or thermal motion is included.

Atomic structure:
Unit cell a=9.5879 b=9.5879 c=9.5879 alpha=90.00 beta=90.00 gamma=90.00
Space group F-43m (No. 216)
Asymmetric unit:
1 Ca 0.1250 0.1250 0.1250 [16 per cell]
2 La 0.2500 0.2500 0.7500 [4 per cell]
3 Ni 0.0000 0.0000 0.5000 [4 per cell]

Most intense lines, 2θ = 5–70°, by intensity:
- 30.93 deg, rel. 100.0, (3 1 1)
- 26.29 deg, rel. 56.9, (2 2 0)
- 49.39 deg, rel. 34.3, (5 1 1)
- 54.11 deg, rel. 24.2, (4 4 0)
- 46.40 deg, rel. 23.9, (4 2 2)
- 32.35 deg, rel. 18.4, (2 2 2)
- 16.01 deg, rel. 16.2, (1 1 1)
- 63.64 deg, rel. 11.5, (5 3 3)